Entry 1:
# PmGeRhN
Calculated powder X-ray diffraction pattern, Cu Kα (λ = 1.5418 Å). Input: a PBE-relaxed structure.
Kinematic intensities with the Lorentz-polarization factor, no thermal factor.

Most intense lines, 15 to 90 degrees two-theta, low angle first:
| d/Å | 2θ/deg | I (rel.) |
| --- | --- | --- |
| 2.915 | 30.67 | 100 |
| 2.851 | 31.37 | 21 |
| 2.816 | 31.77 | 21 |
| 2.675 | 33.50 | 56 |
| 2.352 | 38.26 | 51 |
| 1.991 | 45.55 | 52 |
| 1.703 | 53.83 | 43 |
| 1.644 | 55.92 | 38 |

Lattice parameters (Å, degrees): 3.983 3.983 8.554 90.00 90.00 90.00
Fractional coordinates of all 8 atoms:
Pm 0.250 0.250 0.151
Pm 0.750 0.750 0.849
Ge 0.250 0.250 0.661
Ge 0.750 0.750 0.339
Rh 0.250 0.750 0.500
Rh 0.750 0.250 0.500
N 0.250 0.250 0.883
N 0.750 0.750 0.117

Entry 2:
# AcDy5Tl4
Calculated powder X-ray diffraction pattern, Cu Kα (λ = 1.5418 Å). Input: a PBE-relaxed structure.
Kinematic intensities with the Lorentz-polarization factor, no thermal factor.

Most intense lines, 15 to 90 degrees two-theta, low angle first:
| d/Å | 2θ/deg | I (rel.) |
| --- | --- | --- |
| 2.810 | 31.84 | 100 |
| 2.590 | 34.63 | 11 |
| 2.569 | 34.92 | 47 |
| 1.817 | 50.22 | 17 |
| 1.678 | 54.69 | 13 |
| 1.586 | 58.18 | 8 |
| 1.526 | 60.70 | 32 |
| 1.149 | 84.28 | 8 |

Lattice parameters (Å, degrees): 3.634 3.634 22.164 90.00 90.00 90.00
Fractional coordinates of all 10 atoms:
Ac 0.000 0.000 0.000
Dy 0.500 0.500 0.124
Dy 0.500 0.500 0.311
Dy 0.500 0.500 0.500
Dy 0.500 0.500 0.689
Dy 0.500 0.500 0.876
Tl 0.000 0.000 0.216
Tl 0.000 0.000 0.406
Tl 0.000 0.000 0.594
Tl 0.000 0.000 0.784

Entry 3:
# TiInGaNiC
Calculated powder X-ray diffraction pattern, Cu Kα (λ = 1.5418 Å). Input: a PBE-relaxed structure.
Kinematic intensities with the Lorentz-polarization factor, no thermal factor.

Most intense lines, 15 to 90 degrees two-theta, low angle first:
| d/Å | 2θ/deg | I (rel.) |
| --- | --- | --- |
| 2.732 | 32.78 | 37 |
| 2.608 | 34.39 | 100 |
| 2.322 | 38.78 | 30 |
| 2.235 | 40.35 | 28 |
| 2.026 | 44.74 | 41 |
| 2.020 | 44.88 | 34 |
| 1.990 | 45.58 | 31 |
| 1.571 | 58.77 | 30 |

Lattice parameters (Å, degrees): 3.141 3.145 8.942 89.06 89.21 60.40
Fractional coordinates of all 5 atoms:
Ti 0.000 0.000 0.000
In 0.341 0.349 0.554
Ga 0.332 0.330 0.248
Ni 0.671 0.674 0.784
C 0.336 0.337 0.886

Entry 4:
# BaU3Se8
Calculated powder X-ray diffraction pattern, Cu Kα (λ = 1.5418 Å). Input: a PBE-relaxed structure.
Kinematic intensities with the Lorentz-polarization factor, no thermal factor.

Most intense lines, 15 to 90 degrees two-theta, low angle first:
| d/Å | 2θ/deg | I (rel.) |
| --- | --- | --- |
| 3.657 | 24.34 | 22 |
| 3.058 | 29.21 | 100 |
| 2.447 | 36.72 | 31 |
| 2.269 | 39.72 | 32 |
| 2.069 | 43.75 | 36 |
| 2.000 | 45.34 | 19 |
| 1.832 | 49.77 | 19 |
| 1.714 | 53.47 | 18 |

Lattice parameters (Å, degrees): 9.162 9.162 9.162 53.70 53.70 53.70
Fractional coordinates of all 12 atoms:
Ba 0.000 0.000 0.000
U 0.000 0.000 0.500
U 0.000 0.500 0.000
U 0.500 0.000 0.000
Se 0.213 0.739 0.739
Se 0.232 0.232 0.232
Se 0.261 0.261 0.787
Se 0.261 0.787 0.261
Se 0.739 0.213 0.739
Se 0.739 0.739 0.213
Se 0.768 0.768 0.768
Se 0.787 0.261 0.261

Entry 5:
# CdCu2AuF
Calculated powder X-ray diffraction pattern, Cu Kα (λ = 1.5418 Å). Input: a PBE-relaxed structure.
Kinematic intensities with the Lorentz-polarization factor, no thermal factor.

Most intense lines, 15 to 90 degrees two-theta, low angle first:
| d/Å | 2θ/deg | I (rel.) |
| --- | --- | --- |
| 4.897 | 18.12 | 100 |
| 2.865 | 31.21 | 37 |
| 2.552 | 35.16 | 26 |
| 2.448 | 36.71 | 46 |
| 2.263 | 39.83 | 28 |
| 2.190 | 41.22 | 26 |
| 1.767 | 51.74 | 33 |
| 1.662 | 55.27 | 22 |

Lattice parameters (Å, degrees): 4.897 4.897 5.105 90.00 90.00 90.00
Fractional coordinates of all 5 atoms:
Cd 0.000 0.000 0.000
Cu 0.000 0.500 0.000
Cu 0.500 0.000 0.000
Au 0.000 0.000 0.500
F 0.500 0.500 0.500

Entry 6:
# Cs3Ti2Br7
Calculated powder X-ray diffraction pattern, Cu Kα (λ = 1.5418 Å). Input: a PBE-relaxed structure.
Kinematic intensities with the Lorentz-polarization factor, no thermal factor.

Most intense lines, 15 to 90 degrees two-theta, low angle first:
| d/Å | 2θ/deg | I (rel.) |
| --- | --- | --- |
| 3.172 | 28.13 | 100 |
| 2.861 | 31.26 | 22 |
| 2.725 | 32.86 | 27 |
| 2.665 | 33.63 | 26 |
| 1.973 | 45.99 | 15 |
| 1.905 | 47.73 | 20 |
| 1.620 | 56.83 | 14 |
| 1.586 | 58.17 | 15 |

Lattice parameters (Å, degrees): 14.564 14.564 5.330 90.00 90.00 158.43
Fractional coordinates of all 12 atoms:
Cs 0.000 0.000 0.000
Cs 0.184 0.816 0.000
Cs 0.816 0.184 0.000
Ti 0.403 0.597 0.500
Ti 0.597 0.403 0.500
Br 0.095 0.905 0.500
Br 0.309 0.691 0.500
Br 0.405 0.595 0.000
Br 0.500 0.500 0.500
Br 0.595 0.405 0.000
Br 0.691 0.309 0.500
Br 0.905 0.095 0.500

Entry 7:
# Er3Al4Hg2
Calculated powder X-ray diffraction pattern, Cu Kα (λ = 1.5418 Å). Input: a PBE-relaxed structure.
Kinematic intensities with the Lorentz-polarization factor, no thermal factor.

Most intense lines, 15 to 90 degrees two-theta, low angle first:
| d/Å | 2θ/deg | I (rel.) |
| --- | --- | --- |
| 5.239 | 16.92 | 31 |
| 2.655 | 33.77 | 33 |
| 2.645 | 33.89 | 71 |
| 2.635 | 34.03 | 100 |
| 2.310 | 39.00 | 84 |
| 2.301 | 39.14 | 41 |
| 1.734 | 52.80 | 31 |
| 1.386 | 67.61 | 39 |

Lattice parameters (Å, degrees): 5.827 5.827 8.725 112.91 112.91 46.53
Fractional coordinates of all 9 atoms:
Er 0.000 0.000 0.000
Er 0.334 0.334 0.332
Er 0.666 0.666 0.668
Al 0.042 0.042 0.379
Al 0.263 0.263 0.934
Al 0.737 0.737 0.066
Al 0.958 0.958 0.621
Hg 0.386 0.386 0.721
Hg 0.614 0.614 0.279